Theoretical XRD peak list of PrEr2F11 for Cu Kα, 1.54184 Å, from a structure optimized by DFT (GGA-PBE).

Crystal structure
a b c (Å): 8.786 8.786 8.786
angles (deg): 123.24 108.40 97.83
Atoms (fractional coordinates):
Pr1 0.250 0.250 0.000
Pr2 0.750 0.750 0.000
Er1 0.188 0.655 0.844
Er2 0.312 0.155 0.467
Er3 0.688 0.845 0.533
Er4 0.812 0.345 0.156
F1 0.000 0.500 0.500
F2 0.037 0.968 0.282
F3 0.052 0.344 0.136
F4 0.186 0.468 0.931
F5 0.198 0.389 0.588
F6 0.208 0.915 0.864
F7 0.292 0.156 0.708
F8 0.302 0.889 0.191
F9 0.314 0.245 0.282
F10 0.448 0.585 0.292
F11 0.463 0.745 0.931
F12 0.500 0.000 0.500
F13 0.537 0.255 0.069
F14 0.552 0.415 0.708
F15 0.686 0.755 0.718
F16 0.698 0.111 0.809
F17 0.708 0.844 0.292
F18 0.792 0.085 0.136
F19 0.802 0.611 0.412
F20 0.814 0.532 0.069
F21 0.948 0.656 0.864
F22 0.963 0.032 0.718

Most intense lines, 2θ from 10° to 80°, in order of rising 2θ:
d (Å), Position (°2θ), Rel. int.
5.774, 15.3, 42
4.311, 20.6, 100
4.093, 21.7, 54
3.839, 23.2, 89
3.668, 24.3, 84
2.888, 31.0, 35
2.134, 42.3, 34
2.024, 44.8, 48

***

Theoretical XRD peak list of ErPtF7 for Cu Kα, 1.54184 Å, from a structure optimized by DFT (GGA-PBE).

Crystal structure
a b c (Å): 8.813 5.510 11.915
angles (deg): 90.00 117.42 90.00
Atoms (fractional coordinates):
Er1 0.186 0.239 0.265
Er2 0.186 0.261 0.765
Er3 0.814 0.739 0.235
Er4 0.814 0.761 0.735
Pt1 0.272 0.741 0.043
Pt2 0.272 0.759 0.543
Pt3 0.728 0.241 0.457
Pt4 0.728 0.259 0.957
F1 0.022 0.746 0.949
F2 0.022 0.754 0.449
F3 0.030 0.584 0.733
F4 0.030 0.916 0.233
F5 0.253 0.551 0.176
F6 0.253 0.949 0.676
F7 0.275 0.036 0.137
F8 0.275 0.464 0.637
F9 0.277 0.062 0.457
F10 0.277 0.438 0.957
F11 0.297 0.562 0.415
F12 0.297 0.938 0.915
F13 0.477 0.225 0.358
F14 0.477 0.275 0.858
F15 0.523 0.725 0.142
F16 0.523 0.775 0.642
F17 0.703 0.062 0.085
F18 0.703 0.438 0.585
F19 0.723 0.562 0.043
F20 0.723 0.938 0.543
F21 0.725 0.536 0.363
F22 0.725 0.964 0.863
F23 0.747 0.051 0.324
F24 0.747 0.449 0.824
F25 0.970 0.084 0.767
F26 0.970 0.416 0.267
F27 0.978 0.246 0.551
F28 0.978 0.254 0.051

Most intense lines, 2θ from 10° to 80°, in order of rising 2θ:
d (Å), Position (°2θ), Rel. int.
3.991, 22.3, 100
3.911, 22.7, 42
3.815, 23.3, 15
3.342, 26.7, 18
3.053, 29.3, 34
2.755, 32.5, 18
2.014, 45.0, 14
1.868, 48.7, 17

***

Theoretical XRD peak list of RbEr3F10 for Cu Kα, 1.54184 Å, from a structure optimized by DFT (GGA-PBE).

Crystal structure
a b c (Å): 8.203 8.203 8.203
angles (deg): 60.00 60.00 60.00
Atoms (fractional coordinates):
Rb1 0.250 0.250 0.250
Rb2 0.750 0.750 0.750
Er1 0.240 0.240 0.760
Er2 0.240 0.760 0.240
Er3 0.240 0.760 0.760
Er4 0.760 0.240 0.240
Er5 0.760 0.240 0.760
Er6 0.760 0.760 0.240
F1 0.110 0.110 0.110
F2 0.110 0.110 0.669
F3 0.110 0.669 0.110
F4 0.171 0.500 0.500
F5 0.171 0.500 0.829
F6 0.171 0.829 0.500
F7 0.331 0.890 0.890
F8 0.500 0.171 0.500
F9 0.500 0.171 0.829
F10 0.500 0.500 0.171
F11 0.500 0.500 0.829
F12 0.500 0.829 0.171
F13 0.500 0.829 0.500
F14 0.669 0.110 0.110
F15 0.829 0.171 0.500
F16 0.829 0.500 0.171
F17 0.829 0.500 0.500
F18 0.890 0.331 0.890
F19 0.890 0.890 0.331
F20 0.890 0.890 0.890

Most intense lines, 2θ from 10° to 80°, in order of rising 2θ:
d (Å), Position (°2θ), Rel. int.
4.101, 21.7, 9
3.349, 26.6, 100
2.900, 30.8, 42
2.051, 44.2, 47
1.749, 52.3, 55
1.674, 54.8, 13
1.331, 70.8, 19
1.297, 72.9, 14

***

Theoretical XRD peak list of RbEr3F10 for Cu Kα, 1.54184 Å, from a structure optimized by DFT (GGA-PBE).

Crystal structure
a b c (Å): 8.205 8.205 13.403
angles (deg): 90.00 90.00 120.00
Atoms (fractional coordinates):
Rb1 0.000 0.000 0.000
Rb2 0.000 0.000 0.500
Rb3 0.333 0.667 0.240
Rb4 0.667 0.333 0.740
Er1 0.011 0.505 0.986
Er2 0.175 0.349 0.746
Er3 0.175 0.825 0.746
Er4 0.349 0.175 0.246
Er5 0.495 0.505 0.986
Er6 0.495 0.989 0.986
Er7 0.505 0.011 0.486
Er8 0.505 0.495 0.486
Er9 0.651 0.825 0.746
Er10 0.825 0.175 0.246
Er11 0.825 0.651 0.246
Er12 0.989 0.495 0.486
F1 0.007 0.342 0.616
F2 0.007 0.665 0.616
F3 0.039 0.520 0.812
F4 0.109 0.219 0.276
F5 0.109 0.891 0.276
F6 0.184 0.368 0.922
F7 0.184 0.816 0.922
F8 0.219 0.109 0.776
F9 0.222 0.445 0.450
F10 0.222 0.778 0.450
F11 0.333 0.667 0.030
F12 0.333 0.667 0.701
F13 0.335 0.342 0.616
F14 0.335 0.993 0.616
F15 0.342 0.007 0.116
F16 0.342 0.335 0.116
F17 0.368 0.184 0.422
F18 0.445 0.222 0.950
F19 0.480 0.520 0.812
F20 0.480 0.961 0.812
F21 0.520 0.039 0.312
F22 0.520 0.480 0.312
F23 0.555 0.778 0.450
F24 0.632 0.816 0.922
F25 0.658 0.665 0.616
F26 0.658 0.993 0.616
F27 0.665 0.007 0.116
F28 0.665 0.658 0.116
F29 0.667 0.333 0.201
F30 0.667 0.333 0.530
F31 0.778 0.222 0.950
F32 0.778 0.555 0.950
F33 0.781 0.891 0.276
F34 0.816 0.184 0.422
F35 0.816 0.632 0.422
F36 0.891 0.109 0.776
F37 0.891 0.781 0.776
F38 0.961 0.480 0.312
F39 0.993 0.335 0.116
F40 0.993 0.658 0.116

Most intense lines, 2θ from 10° to 80°, in order of rising 2θ:
d (Å), Position (°2θ), Rel. int.
3.434, 25.9, 44
3.351, 26.6, 37
3.139, 28.4, 100
2.781, 32.2, 20
2.051, 44.2, 35
1.891, 48.1, 32
1.749, 52.3, 41
1.717, 53.4, 22

***

Theoretical XRD peak list of Rb2Er3F10 for Cu Kα, 1.54184 Å, from a structure optimized by DFT (GGA-PBE).

Crystal structure
a b c (Å): 10.831 10.831 8.544
angles (deg): 111.16 111.16 39.50
Atoms (fractional coordinates):
Rb1 0.106 0.106 0.165
Rb2 0.214 0.214 0.864
Rb3 0.786 0.786 0.136
Rb4 0.894 0.894 0.835
Er1 0.239 0.761 0.500
Er2 0.312 0.312 0.484
Er3 0.419 0.419 0.042
Er4 0.581 0.581 0.958
Er5 0.688 0.688 0.516
Er6 0.761 0.239 0.500
F1 0.000 0.500 0.500
F2 0.042 0.042 0.420
F3 0.134 0.569 0.029
F4 0.201 0.580 0.473
F5 0.250 0.250 0.226
F6 0.318 0.682 0.000
F7 0.361 0.361 0.764
F8 0.420 0.799 0.527
F9 0.431 0.866 0.971
F10 0.479 0.479 0.326
F11 0.500 0.000 0.500
F12 0.521 0.521 0.674
F13 0.569 0.134 0.029
F14 0.580 0.201 0.473
F15 0.639 0.639 0.236
F16 0.682 0.318 0.000
F17 0.750 0.750 0.774
F18 0.799 0.420 0.527
F19 0.866 0.431 0.971
F20 0.958 0.958 0.580

Most intense lines, 2θ from 10° to 80°, in order of rising 2θ:
d (Å), Position (°2θ), Rel. int.
6.822, 13.0, 48
3.945, 22.5, 77
3.638, 24.5, 100
3.596, 24.8, 75
3.548, 25.1, 43
3.398, 26.2, 62
3.303, 27.0, 37
1.845, 49.4, 31

***

Theoretical XRD peak list of Er2ScF8 for Cu Kα, 1.54184 Å, from a structure optimized by DFT (GGA-PBE).

Crystal structure
a b c (Å): 5.841 5.841 5.206
angles (deg): 101.93 101.93 72.24
Atoms (fractional coordinates):
Er1 0.174 0.174 0.416
Er2 0.826 0.826 0.584
Sc1 0.500 0.500 0.000
F1 0.066 0.066 0.748
F2 0.160 0.535 0.699
F3 0.344 0.344 0.210
F4 0.465 0.840 0.301
F5 0.535 0.160 0.699
F6 0.656 0.656 0.790
F7 0.840 0.465 0.301
F8 0.934 0.934 0.252

Most intense lines, 2θ from 10° to 80°, in order of rising 2θ:
d (Å), Position (°2θ), Rel. int.
5.496, 16.1, 17
5.032, 17.6, 44
3.914, 22.7, 49
3.450, 25.8, 100
2.782, 32.2, 26
2.225, 40.6, 19
1.990, 45.6, 20
1.722, 53.2, 17

***

Theoretical XRD peak list of ErSiF for Cu Kα, 1.54184 Å, from a structure optimized by DFT (GGA-PBE).

Crystal structure
a b c (Å): 8.743 8.743 8.743
angles (deg): 24.63 24.63 24.63
Atoms (fractional coordinates):
Er1 0.237 0.237 0.237
Er2 0.763 0.763 0.763
Si1 0.355 0.355 0.355
Si2 0.645 0.645 0.645
F1 0.139 0.139 0.139
F2 0.861 0.861 0.861

Most intense lines, 2θ from 10° to 80°, in order of rising 2θ:
d (Å), Position (°2θ), Rel. int.
4.237, 21.0, 30
3.130, 28.5, 100
2.879, 31.1, 33
2.413, 37.3, 16
2.265, 39.8, 34
1.998, 45.4, 22
1.865, 48.8, 34
1.707, 53.7, 16

***

Theoretical XRD peak list of Sm2ErF11 for Cu Kα, 1.54184 Å, from a structure optimized by DFT (GGA-PBE).

Crystal structure
a b c (Å): 8.732 8.732 8.732
angles (deg): 121.30 107.35 100.49
Atoms (fractional coordinates):
Sm1 0.190 0.163 0.354
Sm2 0.310 0.663 0.973
Sm3 0.690 0.337 0.027
Sm4 0.810 0.837 0.646
Er1 0.250 0.750 0.500
Er2 0.750 0.250 0.500
F1 0.000 0.000 0.000
F2 0.022 0.453 0.767
F3 0.062 0.833 0.625
F4 0.186 0.953 0.431
F5 0.189 0.893 0.082
F6 0.209 0.437 0.375
F7 0.291 0.667 0.228
F8 0.311 0.393 0.703
F9 0.314 0.746 0.767
F10 0.438 0.063 0.772
F11 0.478 0.246 0.431
F12 0.500 0.500 0.000
F13 0.522 0.754 0.569
F14 0.562 0.937 0.228
F15 0.686 0.254 0.233
F16 0.689 0.607 0.297
F17 0.709 0.333 0.772
F18 0.791 0.563 0.625
F19 0.811 0.107 0.918
F20 0.814 0.047 0.569
F21 0.938 0.167 0.375
F22 0.978 0.547 0.233

Most intense lines, 2θ from 10° to 80°, in order of rising 2θ:
d (Å), Position (°2θ), Rel. int.
6.594, 13.4, 33
4.261, 20.8, 100
4.115, 21.6, 38
3.794, 23.4, 80
3.728, 23.9, 56
3.397, 26.2, 29
2.060, 43.9, 34
2.045, 44.3, 44

***

Theoretical XRD peak list of ErSnF for Cu Kα, 1.54184 Å, from a structure optimized by DFT (GGA-PBE).

Crystal structure
a b c (Å): 7.266 7.266 7.266
angles (deg): 91.76 91.76 91.76
Atoms (fractional coordinates):
Er1 0.187 0.327 0.671
Er2 0.327 0.671 0.187
Er3 0.329 0.813 0.673
Er4 0.671 0.187 0.327
Er5 0.673 0.329 0.813
Er6 0.813 0.673 0.329
Sn1 0.007 0.332 0.104
Sn2 0.104 0.007 0.332
Sn3 0.332 0.104 0.007
Sn4 0.668 0.896 0.993
Sn5 0.896 0.993 0.668
Sn6 0.993 0.668 0.896
F1 0.230 0.564 0.476
F2 0.436 0.524 0.770
F3 0.476 0.230 0.564
F4 0.524 0.770 0.436
F5 0.564 0.476 0.230
F6 0.770 0.436 0.524

Most intense lines, 2θ from 10° to 80°, in order of rising 2θ:
d (Å), Position (°2θ), Rel. int.
3.288, 27.1, 40
3.206, 27.8, 39
2.979, 30.0, 81
2.888, 31.0, 50
2.527, 35.5, 23
2.455, 36.6, 100
2.318, 38.9, 35
1.774, 51.5, 34